# 1
TaCrP: calculated PXRD pattern (λ = 1.5418 Å (Cu Kα)), based on a DFT-relaxed cell (PBE, the Materials Project).
Neutral-atom scattering factors, no anomalous dispersion.

Largest 8 diffraction maxima, most intense first, 15 to 90 degrees two-theta:
two_theta  I_rel
38.12  100
40.49  85
39.40  53
28.01  49
28.64  26
51.76  24
18.64  23
66.94  23

Atomic structure:
a = 6.234 Å, b = 3.533 Å, c = 7.375 Å
α = 90.00°, β = 90.00°, γ = 90.00°
Fractional coordinates of all 12 atoms:
Ta  0.031  0.250  0.172
Ta  0.469  0.750  0.672
Ta  0.531  0.250  0.328
Ta  0.969  0.750  0.828
Cr  0.145  0.250  0.559
Cr  0.355  0.750  0.059
Cr  0.645  0.250  0.941
Cr  0.855  0.750  0.441
P  0.230  0.750  0.367
P  0.270  0.250  0.867
P  0.730  0.750  0.133
P  0.770  0.250  0.633

=====

# 2
Bi2P3O12: calculated PXRD pattern (λ = 1.5418 Å (Cu Kα)), based on a DFT-relaxed cell (PBE, the Materials Project).
Neutral-atom scattering factors, no anomalous dispersion.

Largest 8 diffraction maxima, most intense first, 15 to 90 degrees two-theta:
two_theta  I_rel
18.82  100
20.30  84
30.21  72
27.82  50
34.68  38
35.55  33
49.42  27
47.32  21

Atomic structure:
a = 9.490 Å, b = 9.490 Å, c = 9.490 Å
α = 54.89°, β = 54.89°, γ = 54.89°
Fractional coordinates of all 34 atoms:
Bi  0.144  0.144  0.144
Bi  0.346  0.346  0.346
Bi  0.654  0.654  0.654
Bi  0.856  0.856  0.856
P  0.047  0.452  0.746
P  0.254  0.953  0.548
P  0.452  0.746  0.047
P  0.548  0.254  0.953
P  0.746  0.047  0.452
P  0.953  0.548  0.254
O  0.032  0.591  0.793
O  0.138  0.252  0.862
O  0.138  0.862  0.748
O  0.148  0.532  0.208
O  0.168  0.493  0.535
O  0.207  0.968  0.409
O  0.208  0.148  0.532
O  0.252  0.862  0.138
O  0.409  0.207  0.968
O  0.465  0.832  0.507
O  0.468  0.792  0.852
O  0.493  0.535  0.168
O  0.507  0.465  0.832
O  0.532  0.208  0.148
O  0.535  0.168  0.493
O  0.591  0.793  0.032
O  0.748  0.138  0.862
O  0.792  0.852  0.468
O  0.793  0.032  0.591
O  0.832  0.507  0.465
O  0.852  0.468  0.792
O  0.862  0.138  0.252
O  0.862  0.748  0.138
O  0.968  0.409  0.207

=====

# 3
K3MgCu2F9: calculated PXRD pattern (λ = 1.5418 Å (Cu Kα)), based on a DFT-relaxed cell (PBE, the Materials Project).
Neutral-atom scattering factors, no anomalous dispersion.

Largest 8 diffraction maxima, most intense first, 15 to 90 degrees two-theta:
two_theta  I_rel
31.08  100
44.58  47
55.30  36
64.77  26
21.84  24
44.44  24
64.87  13
38.31  12

Atomic structure:
a = 4.065 Å, b = 4.065 Å, c = 12.231 Å
α = 90.00°, β = 90.00°, γ = 90.00°
Fractional coordinates of all 15 atoms:
K  0.000  0.000  0.000
K  0.000  0.000  0.332
K  0.000  0.000  0.668
Mg  0.500  0.500  0.500
Cu  0.500  0.500  0.167
Cu  0.500  0.500  0.833
F  0.000  0.500  0.166
F  0.000  0.500  0.500
F  0.000  0.500  0.834
F  0.500  0.000  0.166
F  0.500  0.000  0.500
F  0.500  0.000  0.834
F  0.500  0.500  0.000
F  0.500  0.500  0.335
F  0.500  0.500  0.665

=====

# 4
KMgO3: calculated PXRD pattern (λ = 1.5418 Å (Cu Kα)), based on a DFT-relaxed cell (PBE, the Materials Project).
Neutral-atom scattering factors, no anomalous dispersion.

Largest 8 diffraction maxima, most intense first, 15 to 90 degrees two-theta:
two_theta  I_rel
30.63  100
43.87  91
37.75  61
63.78  48
54.45  37
88.66  18
72.40  16
80.63  14

Atomic structure:
a = 4.128 Å, b = 4.128 Å, c = 4.128 Å
α = 90.00°, β = 90.00°, γ = 90.00°
Fractional coordinates of all 5 atoms:
K  0.000  0.000  0.000
Mg  0.500  0.500  0.500
O  0.000  0.500  0.500
O  0.500  0.000  0.500
O  0.500  0.500  0.000